# 1
This entry pairs a crystal structure of Sr3Ga4Au7 with its theoretical powder diffraction line list. Radiation: a wavelength of 1.5418 Å. Structure: a structure optimized by DFT (GGA-PBE).

Cell and atoms:
Cell: 16.8465 4.5552 9.8031 Å, 90.00 125.16 90.00°
Space group C2/m (No. 12)
One atom of each set of equivalent atoms:
Sr 0.0000 0.0000 0.0000 x2
Sr 0.1787 0.5000 0.6832 x4
Ga 0.1274 0.0000 0.4080 x4
Ga 0.1774 0.5000 0.0355 x4
Au 0.0000 0.0000 0.5000 x2
Au 0.0011 0.5000 0.2666 x4
Au 0.1354 0.0000 0.8708 x4
Au 0.1823 0.5000 0.3112 x4

Peak list (6 most intense, 15 to 90 degrees two-theta, by angle)
Position (°2θ)	d_spacing	Rel. int.	hkl
21.47	4.138	34	4 0 -1
33.11	2.706	75	1 1 2
33.27	2.693	100	5 1 -2
38.18	2.357	37	5 1 0
39.25	2.295	40	6 0 0
39.57	2.278	69	0 2 0

***

# 2
This entry pairs a crystal structure of Nb2Ag2Ru with its theoretical powder diffraction line list. Radiation: a wavelength of 1.5418 Å. Structure: a structure optimized by DFT (GGA-PBE).

Cell and atoms:
Cell: 3.6452 3.6452 14.3731 Å, 90.00 90.00 90.00°
Space group I4/mmm (No. 139)
One atom of each set of equivalent atoms:
Nb 0.0000 0.0000 0.0824 x4
Ag 0.0000 0.5000 0.2500 x4
Ru 0.0000 0.0000 0.5000 x2

Peak list (6 most intense, 15 to 90 degrees two-theta, by angle)
Position (°2θ)	d_spacing	Rel. int.	hkl
24.78	3.593	22	0 0 4
37.05	2.426	100	1 1 2
39.94	2.257	31	1 0 5
43.20	2.094	16	1 1 4
50.05	1.823	31	2 0 0
85.27	1.138	17	3 1 2

***

Which formula does entry 2 have?
Nb2Ag2Ru